[1]
The following is a computed powder diffraction line list of PrEr2Cu2Ge2. It was derived from a structure optimized by DFT (GGA-PBE), using Cu Kα (weighted mean of Kα1 and Kα2).

Atomic structure:
a b c (Å): 9.606 9.606 9.606
angles (deg): 26.06 26.06 26.06
Element x y z (fractional)
1 Pr 0.000 0.000 0.000
2 Er 0.128 0.128 0.128
3 Er 0.872 0.872 0.872
4 Cu 0.407 0.407 0.407
5 Cu 0.593 0.593 0.593
6 Ge 0.258 0.258 0.258
7 Ge 0.742 0.742 0.742

Main lines, by angle (10° ≤ 2θ ≤ 90°):
- 2θ = 23.94°, I 45.0
- 2θ = 32.83°, I 98.2
- 2θ = 35.19°, I 98.8
- 2θ = 41.71°, I 100.0
- 2θ = 55.68°, I 26.4
- 2θ = 66.35°, I 36.9

[2]
The following is a computed powder diffraction line list of Pm3NdY. It was derived from a structure optimized by DFT (GGA-PBE), using Cu Kα (weighted mean of Kα1 and Kα2).

Atomic structure:
a b c (Å): 9.621 9.621 10.324
angles (deg): 105.54 105.54 21.82
Element x y z (fractional)
1 Pm 0.000 0.000 0.249
2 Pm 0.000 0.000 0.751
3 Pm 0.201 0.201 0.349
4 Pm 0.399 0.399 0.950
5 Pm 0.601 0.601 0.050
6 Pm 0.799 0.799 0.651
7 Nd 0.400 0.400 0.449
8 Nd 0.600 0.600 0.551
9 Y 0.200 0.200 0.852
10 Y 0.800 0.800 0.148

Main lines, by angle (10° ≤ 2θ ≤ 90°):
- 2θ = 30.05°, I 100.0
- 2θ = 34.76°, I 17.0
- 2θ = 34.87°, I 33.6
- 2θ = 50.06°, I 30.1
- 2θ = 59.57°, I 28.5
- 2θ = 81.40°, I 14.5

[3]
The following is a computed powder diffraction line list of TbPm5Te8. It was derived from a structure optimized by DFT (GGA-PBE), using Cu Kα (weighted mean of Kα1 and Kα2).

Atomic structure:
a b c (Å): 8.197 8.197 8.197
angles (deg): 109.68 109.68 109.06
Element x y z (fractional)
1 Tb 0.000 0.000 0.000
2 Pm 0.255 0.125 0.631
3 Pm 0.376 0.745 0.870
4 Pm 0.494 0.624 0.369
5 Pm 0.750 0.250 0.500
6 Pm 0.875 0.506 0.130
7 Te 0.122 0.370 0.393
8 Te 0.124 0.375 0.899
9 Te 0.271 0.878 0.247
10 Te 0.475 0.225 0.101
11 Te 0.625 0.525 0.749
12 Te 0.630 0.023 0.753
13 Te 0.775 0.876 0.251
14 Te 0.977 0.729 0.607

Main lines, by angle (10° ≤ 2θ ≤ 90°):
- 2θ = 29.72°, I 51.8
- 2θ = 29.92°, I 100.0
- 2θ = 35.45°, I 70.1
- 2θ = 35.56°, I 33.8
- 2θ = 42.81°, I 17.2
- 2θ = 44.92°, I 17.9

[4]
The following is a computed powder diffraction line list of Ac2Y6Tm5. It was derived from a structure optimized by DFT (GGA-PBE), using Cu Kα (weighted mean of Kα1 and Kα2).

Atomic structure:
a b c (Å): 11.940 20.254 3.637
angles (deg): 90.00 90.00 90.00
Element x y z (fractional)
1 Ac 0.157 0.221 0.000
2 Ac 0.343 0.721 0.000
3 Ac 0.657 0.279 0.000
4 Ac 0.843 0.779 0.000
5 Y 0.058 0.924 0.000
6 Y 0.079 0.636 0.000
7 Y 0.181 0.383 0.500
8 Y 0.319 0.883 0.500
9 Y 0.421 0.136 0.000
10 Y 0.442 0.424 0.000
11 Y 0.558 0.576 0.000
12 Y 0.579 0.864 0.000
13 Y 0.681 0.117 0.500
14 Y 0.819 0.617 0.500
15 Y 0.921 0.364 0.000
16 Y 0.942 0.076 0.000
17 Tm 0.000 0.500 0.500
18 Tm 0.104 0.781 0.500
19 Tm 0.200 0.051 0.500
20 Tm 0.300 0.551 0.500
21 Tm 0.396 0.281 0.500
22 Tm 0.500 0.000 0.500
23 Tm 0.604 0.719 0.500
24 Tm 0.700 0.449 0.500
25 Tm 0.800 0.949 0.500
26 Tm 0.896 0.219 0.500

Main lines, by angle (10° ≤ 2θ ≤ 90°):
- 2θ = 30.26°, I 42.0
- 2θ = 31.21°, I 79.0
- 2θ = 31.51°, I 28.6
- 2θ = 31.71°, I 100.0
- 2θ = 31.82°, I 48.5
- 2θ = 36.00°, I 22.3

[5]
The following is a computed powder diffraction line list of Cr2Tc. It was derived from a structure optimized by DFT (GGA-PBE), using Cu Kα (weighted mean of Kα1 and Kα2).

Atomic structure:
a b c (Å): 2.922 2.922 8.878
angles (deg): 90.00 90.00 90.00
Element x y z (fractional)
1 Cr 0.000 0.000 0.175
2 Cr 0.000 0.000 0.825
3 Cr 0.500 0.500 0.325
4 Cr 0.500 0.500 0.675
5 Tc 0.000 0.000 0.500
6 Tc 0.500 0.500 0.000

Main lines, by angle (10° ≤ 2θ ≤ 90°):
- 2θ = 32.25°, I 14.5
- 2θ = 43.52°, I 100.0
- 2θ = 43.81°, I 49.6
- 2θ = 63.69°, I 15.0
- 2θ = 79.70°, I 14.5
- 2θ = 80.31°, I 29.3

[6]
The following is a computed powder diffraction line list of LaPm4Sm4. It was derived from a structure optimized by DFT (GGA-PBE), using Cu Kα (weighted mean of Kα1 and Kα2).

Atomic structure:
a b c (Å): 8.171 8.171 8.171
angles (deg): 95.75 95.75 143.10
Element x y z (fractional)
1 La 0.000 0.000 0.000
2 Pm 0.000 0.334 0.334
3 Pm 0.000 0.666 0.666
4 Pm 0.334 0.000 0.334
5 Pm 0.666 0.000 0.666
6 Sm 0.332 0.332 0.665
7 Sm 0.332 0.668 0.000
8 Sm 0.668 0.332 0.000
9 Sm 0.668 0.668 0.335

Main lines, by angle (10° ≤ 2θ ≤ 90°):
- 2θ = 29.94°, I 100.0
- 2θ = 34.71°, I 50.7
- 2θ = 49.90°, I 36.3
- 2θ = 59.29°, I 43.3
- 2θ = 81.10°, I 17.6
- 2θ = 83.67°, I 16.4